Structure and theoretical XRD peak list of Hf5Zn3 (a PBE-relaxed structure; Cu Kα (λ = 1.5418 Å)).
Lines closer than 0.1° are merged.

Structural model:
a b c (Å): 3.229 3.229 14.854
angles (deg): 90.00 90.00 90.00
Space group P4/mmm (No. 123)
Inequivalent atoms, fractional coordinates:
Hf (0.000, 0.000, 0.000) [1 per cell]
Hf (0.000, 0.000, 0.239) [2 per cell]
Hf (0.500, 0.500, 0.378) [2 per cell]
Zn (0.000, 0.000, 0.500) [1 per cell]
Zn (0.500, 0.500, 0.118) [2 per cell]

Main lines, low angle first (2θ = 15–90°):
2θ = 28.29°, rel. 12.9, hkl 1 0 1; 2θ = 36.89°, rel. 100.0, hkl 1 0 4; 2θ = 39.47°, rel. 42.8, hkl 1 1 0; 2θ = 49.06°, rel. 10.2, hkl 0 0 8; 2θ = 57.05°, rel. 14.6, hkl 2 0 0; 2θ = 64.71°, rel. 17.6, hkl 1 1 8; 2θ = 69.90°, rel. 30.6, hkl 2 1 4; 2θ = 78.51°, rel. 10.1, hkl 2 0 8

Structure and theoretical XRD peak list of HfZrZn (a PBE-relaxed structure; Cu Kα (λ = 1.5418 Å)).
Lines closer than 0.1° are merged.

Structural model:
a b c (Å): 4.873 9.864 9.937
angles (deg): 90.00 90.00 90.00
Space group Fmmm (No. 69)
Inequivalent atoms, fractional coordinates:
Hf (0.000, 0.000, 0.152) [8 per cell]
Zr (0.000, 0.151, 0.500) [8 per cell]
Zn (0.250, 0.250, 0.250) [8 per cell]

Main lines, low angle first (2θ = 15–90°):
2θ = 33.96°, rel. 100.0, hkl 1 1 3; 2θ = 34.11°, rel. 72.4, hkl 1 3 1; 2θ = 40.66°, rel. 35.0, hkl 0 2 4; 2θ = 40.85°, rel. 25.0, hkl 0 4 2; 2θ = 41.32°, rel. 34.5, hkl 2 2 0; 2θ = 45.35°, rel. 22.4, hkl 2 2 2; 2θ = 64.64°, rel. 26.7, hkl 3 1 3; 2θ = 65.69°, rel. 23.4, hkl 2 4 4

Structure and theoretical XRD peak list of HfZr3Zn (a PBE-relaxed structure; Cu Kα (λ = 1.5418 Å)).
Lines closer than 0.1° are merged.

Structural model:
a b c (Å): 17.010 8.666 5.890
angles (deg): 90.00 95.37 90.00
Space group C2/c (No. 15)
Inequivalent atoms, fractional coordinates:
Hf (0.000, 0.097, 0.250) [4 per cell]
Hf (0.000, 0.251, 0.750) [4 per cell]
Zr (0.078, 0.424, 0.396) [8 per cell]
Zr (0.157, 0.108, 0.574) [8 per cell]
Zr (0.162, 0.254, 0.066) [8 per cell]
Zn (0.215, 0.436, 0.693) [8 per cell]

Main lines, low angle first (2θ = 15–90°):
2θ = 31.70°, rel. 30.1, hkl 6 0 0; 2θ = 34.22°, rel. 56.4, hkl 4 2 1; 2θ = 34.80°, rel. 100.0, hkl 1 3 -1; 2θ = 35.57°, rel. 99.3, hkl 4 0 -2; 2θ = 37.33°, rel. 45.9, hkl 3 1 2; 2θ = 37.59°, rel. 83.2, hkl 3 3 -1; 2θ = 38.64°, rel. 43.1, hkl 7 1 0; 2θ = 72.75°, rel. 35.4, hkl 7 3 3

Structure and theoretical XRD peak list of Hf4Zr (a PBE-relaxed structure; Cu Kα (λ = 1.5418 Å)).
Lines closer than 0.1° are merged.

Structural model:
a b c (Å): 5.695 5.324 8.221
angles (deg): 90.00 114.95 90.00
Space group P2_1/c (No. 14)
Inequivalent atoms, fractional coordinates:
Hf (0.099, 0.070, 0.202) [4 per cell]
Hf (0.286, 0.555, 0.102) [4 per cell]
Zr (0.500, 0.000, 0.000) [2 per cell]

Main lines, low angle first (2θ = 15–90°):
2θ = 33.67°, rel. 29.6, hkl 0 2 0; 2θ = 35.14°, rel. 48.0, hkl 1 0 2; 2θ = 35.85°, rel. 100.0, hkl 2 1 -1; 2θ = 36.96°, rel. 79.4, hkl 1 1 -3; 2θ = 42.25°, rel. 14.7, hkl 1 2 1; 2θ = 49.46°, rel. 20.1, hkl 1 2 2; 2θ = 62.79°, rel. 15.2, hkl 3 1 1; 2θ = 64.96°, rel. 14.1, hkl 0 1 5

Structure and theoretical XRD peak list of Hf13Zr3 (a PBE-relaxed structure; Cu Kα (λ = 1.5418 Å)).
Lines closer than 0.1° are merged.

Structural model:
a b c (Å): 8.901 8.995 8.998
angles (deg): 90.00 90.00 90.00
Space group Amm2 (No. 38)
Inequivalent atoms, fractional coordinates:
Hf (0.000, 0.000, 0.000) [2 per cell]
Hf (0.000, 0.000, 0.494) [2 per cell]
Hf (0.000, 0.247, 0.247) [4 per cell]
Hf (0.249, 0.000, 0.245) [4 per cell]
Hf (0.249, 0.248, 0.997) [8 per cell]
Hf (0.500, 0.000, 0.000) [2 per cell]
Hf (0.500, 0.247, 0.247) [4 per cell]
Zr (0.249, 0.000, 0.748) [4 per cell]
Zr (0.500, 0.000, 0.493) [2 per cell]

Main lines, low angle first (2θ = 15–90°):
2θ = 34.66°, rel. 100.0, hkl 2 2 2; 2θ = 40.09°, rel. 33.6, hkl 0 4 0; 2θ = 40.54°, rel. 16.3, hkl 4 0 0; 2θ = 57.99°, rel. 11.4, hkl 0 4 4; 2θ = 58.33°, rel. 22.5, hkl 4 4 0; 2θ = 69.36°, rel. 26.8, hkl 2 6 2; 2θ = 69.98°, rel. 13.1, hkl 6 2 2; 2θ = 73.14°, rel. 11.5, hkl 4 4 4

Structure and theoretical XRD peak list of Hf3Zr7 (a PBE-relaxed structure; Cu Kα (λ = 1.5418 Å)).
Lines closer than 0.1° are merged.

Structural model:
a b c (Å): 16.174 4.907 6.276
angles (deg): 90.00 112.77 90.00
Space group C2/m (No. 12)
Inequivalent atoms, fractional coordinates:
Hf (0.000, 0.000, 0.000) [2 per cell]
Hf (0.201, 0.000, 0.701) [4 per cell]
Zr (0.000, 0.000, 0.500) [2 per cell]
Zr (0.104, 0.500, 0.354) [4 per cell]
Zr (0.104, 0.500, 0.854) [4 per cell]
Zr (0.201, 0.000, 0.201) [4 per cell]

Main lines, low angle first (2θ = 15–90°):
2θ = 34.45°, rel. 81.4, hkl 3 1 -2; 2θ = 35.21°, rel. 100.0, hkl 5 1 0; 2θ = 36.63°, rel. 45.1, hkl 0 2 0; 2θ = 37.46°, rel. 35.8, hkl 2 0 2; 2θ = 46.61°, rel. 15.3, hkl 8 0 -2; 2θ = 53.39°, rel. 25.5, hkl 2 2 2; 2θ = 65.04°, rel. 16.4, hkl 5 3 0; 2θ = 70.47°, rel. 25.8, hkl 1 1 4

Structure and theoretical XRD peak list of Hf3Zr2 (a PBE-relaxed structure; Cu Kα (λ = 1.5418 Å)).
Lines closer than 0.1° are merged.

Structural model:
a b c (Å): 16.064 5.565 5.099
angles (deg): 90.00 90.00 90.00
Space group Cmcm (No. 63)
Inequivalent atoms, fractional coordinates:
Hf (0.000, 0.166, 0.250) [4 per cell]
Hf (0.201, 0.165, 0.250) [8 per cell]
Zr (0.100, 0.332, 0.750) [8 per cell]

Main lines, low angle first (2θ = 15–90°):
2θ = 32.17°, rel. 23.9, hkl 5 1 0; 2θ = 35.20°, rel. 25.1, hkl 0 0 2; 2θ = 36.80°, rel. 100.0, hkl 0 2 1; 2θ = 48.42°, rel. 15.3, hkl 5 1 2; 2θ = 57.36°, rel. 18.4, hkl 10 0 0; 2θ = 64.21°, rel. 19.6, hkl 0 2 3; 2θ = 69.11°, rel. 21.0, hkl 10 0 2; 2θ = 70.11°, rel. 15.1, hkl 10 2 1

Structure and theoretical XRD peak list of Hf4Zr3 (a PBE-relaxed structure; Cu Kα (λ = 1.5418 Å)).
Lines closer than 0.1° are merged.

Structural model:
a b c (Å): 8.5047 8.5047 5.1028
angles (deg): 90.00 90.00 120.00
Space group P6_3/m (No. 176)
Inequivalent atoms, fractional coordinates:
Hf (0.0967, 0.6167, 0.2500) [6 per cell]
Hf (0.3333, 0.6667, 0.7500) [2 per cell]
Zr (0.0490, 0.8080, 0.7500) [6 per cell]

Main lines, low angle first (2θ = 15–90°):
2θ = 32.15°, rel. 24.0, hkl 1 2 0; 2θ = 35.17°, rel. 24.8, hkl 0 0 2; 2θ = 36.78°, rel. 100.0, hkl 1 2 1; 2θ = 48.39°, rel. 15.4, hkl 1 2 2; 2θ = 57.33°, rel. 18.1, hkl 4 1 0; 2θ = 64.17°, rel. 19.6, hkl 1 2 3; 2θ = 69.07°, rel. 20.7, hkl 4 1 2; 2θ = 70.07°, rel. 14.9, hkl 2 4 1